Starting from a crystal structure in the Materials Project, relaxed with PBE, the X-ray powder pattern of LaTlPd was computed for λ = 1.5418 Å (Cu Kα).
Neutral-atom scattering factors, no anomalous dispersion.

Most intense lines, 2θ = 10–80°, most intense first:
2θ = 34.0°, 2.635 Å, intensity 100.0, (2 0 1)
2θ = 31.4°, 2.849 Å, intensity 73.5, (1 1 1)
2θ = 62.5°, 1.486 Å, intensity 26.0, (3 2 1)
2θ = 38.8°, 2.322 Å, intensity 24.9, (3 0 0)
2θ = 40.9°, 2.205 Å, intensity 24.6, (2 1 1)
2θ = 57.5°, 1.602 Å, intensity 20.4, (2 1 2)
2θ = 44.9°, 2.018 Å, intensity 17.0, (0 0 2)
2θ = 52.5°, 1.742 Å, intensity 13.6, (4 0 0)
2θ = 60.8°, 1.523 Å, intensity 13.3, (3 0 2)
2θ = 22.1°, 4.030 Å, intensity 9.6, (0 0 1)
2θ = 57.7°, 1.598 Å, intensity 9.1, (4 0 1)
2θ = 71.7°, 1.316 Å, intensity 7.1, (5 0 1)

Atomic structure:
```
data_LaTlPd
_chemical_formula_sum 'La3 Tl3 Pd3'
_symmetry_space_group_name_H-M 'P -6 2 m'
_symmetry_Int_Tables_number 189
_symmetry_space_group_name_Hall 'P -6 -2'
_cell_length_a 8.0420
_cell_length_b 8.0420
_cell_length_c 4.0367
_cell_angle_alpha 90.00
_cell_angle_beta 90.00
_cell_angle_gamma 120.00
loop_
_atom_site_label
_atom_site_fract_x
_atom_site_fract_y
_atom_site_fract_z
La1 0.0000 0.5910 0.0000
Tl1 0.0000 0.2577 0.5000
Pd1 0.0000 0.0000 0.0000
Pd2 0.3333 0.6667 0.5000
```